[1]
Computed XRD peak list
Compound: TlTeIr2
Radiation: Cu Kα
Structure: a structure optimized by DFT (PBE)
Intensities are scaled so that the largest is 100.

Structural model:
```
TlTeIr2
1.0
3.0307 0.0000 0.0000
0.0000 3.8967 0.0000
0.0000 0.0000 7.3768
Tl Te Ir
1 1 2
Direct
0.0000 0.0000 0.0000 Tl
0.5000 0.5000 0.5782 Te
0.0000 0.0000 0.4147 Ir
0.5000 0.5000 0.2190 Ir
```

Largest 10 diffraction maxima, by intensity, 2θ = 5–70°:
2θ (°)	I_rel
37.60	100
12.00	78
33.45	76
38.44	52
43.52	44
47.62	34
46.62	27
61.96	26
68.85	23
39.60	18

[2]
Computed XRD peak list
Compound: TlTe2Ir
Radiation: Cu Kα
Structure: a structure optimized by DFT (PBE)
Intensities are scaled so that the largest is 100.

Structural model:
```
TlTe2Ir
1.0
4.0618 0.0000 0.0000
-2.0268 6.4590 0.0000
-0.0029 -2.7477 8.3570
Tl Te Ir
2 4 2
Direct
0.0774 0.1512 0.3099 Tl
0.9226 0.8488 0.6901 Tl
0.3264 0.6528 0.3672 Te
0.3591 0.7188 0.9875 Te
0.6409 0.2812 0.0125 Te
0.6736 0.3472 0.6328 Te
0.1480 0.2952 0.8184 Ir
0.8520 0.7048 0.1816 Ir
```

Largest 10 diffraction maxima, by intensity, 2θ = 5–70°:
2θ (°)	I_rel
29.95	100
34.13	24
29.11	23
44.62	21
50.32	20
41.81	18
41.43	18
57.32	14
39.74	14
23.06	13

[3]
Computed XRD peak list
Compound: Y5Te4Ir
Radiation: Cu Kα
Structure: a structure optimized by DFT (PBE)
Intensities are scaled so that the largest is 100.

Structural model:
```
Y5Te4Ir
1.0
-2.1264 2.1264 15.6994
2.1264 -2.1264 15.6994
2.1264 2.1264 -15.6994
Y Te Ir
5 4 1
Direct
0.0000 0.0000 0.0000 Y
0.2108 0.2108 0.0000 Y
0.4165 0.4165 0.0000 Y
0.5835 0.5835 0.0000 Y
0.7892 0.7892 0.0000 Y
0.1057 0.1057 0.0000 Te
0.3096 0.3096 0.0000 Te
0.6904 0.6904 0.0000 Te
0.8943 0.8943 0.0000 Te
0.5000 0.5000 0.0000 Ir
```

Largest 10 diffraction maxima, by intensity, 2θ = 5–70°:
2θ (°)	I_rel
29.71	100
41.58	55
28.43	39
42.51	37
51.94	29
69.95	17
25.29	14
37.96	13
33.21	13
61.69	12

[4]
Computed XRD peak list
Compound: Y5Te2Ir2
Radiation: Cu Kα
Structure: a structure optimized by DFT (PBE)
Intensities are scaled so that the largest is 100.

Structural model:
```
Y5Te2Ir2
1.0
7.8313 -3.9071 0.0000
7.8313 3.9071 0.0000
0.0000 0.0000 7.7748
Y Te Ir
10 4 4
Direct
0.0000 0.0000 0.0000 Y
0.0432 0.7227 0.6588 Y
0.2227 0.5432 0.1588 Y
0.2773 0.9568 0.6588 Y
0.4568 0.7773 0.1588 Y
0.5000 0.5000 0.5000 Y
0.5432 0.2227 0.8412 Y
0.7227 0.0432 0.3412 Y
0.7773 0.4568 0.8412 Y
0.9568 0.2773 0.3412 Y
0.2097 0.2097 0.0000 Te
0.2903 0.2903 0.5000 Te
0.7097 0.7097 0.5000 Te
0.7903 0.7903 0.0000 Te
0.1388 0.8612 0.3627 Ir
0.3612 0.6388 0.8627 Ir
0.6388 0.3612 0.1373 Ir
0.8612 0.1388 0.6373 Ir
```

Largest 10 diffraction maxima, by intensity, 2θ = 5–70°:
2θ (°)	I_rel
34.41	100
11.30	84
30.88	81
36.84	64
36.99	62
38.67	60
65.68	45
32.41	34
27.98	33
32.49	30

[5]
Computed XRD peak list
Compound: Th3Ir2
Radiation: Cu Kα
Structure: a structure optimized by DFT (PBE)
Intensities are scaled so that the largest is 100.

Structural model:
```
Th3Ir2
1.0
11.7641 0.0000 0.0000
0.0000 3.9907 0.0000
0.0000 0.0000 11.3024
Th Ir
12 8
Direct
0.0643 0.2500 0.1383 Th
0.1217 0.7500 0.5576 Th
0.2120 0.2500 0.8118 Th
0.2880 0.7500 0.3118 Th
0.3783 0.2500 0.0576 Th
0.4357 0.7500 0.6383 Th
0.5643 0.2500 0.3617 Th
0.6217 0.7500 0.9424 Th
0.7120 0.2500 0.6882 Th
0.7880 0.7500 0.1882 Th
0.8783 0.2500 0.4424 Th
0.9357 0.7500 0.8617 Th
0.0086 0.7500 0.3206 Ir
0.1727 0.7500 0.9894 Ir
0.3272 0.2500 0.4894 Ir
0.4914 0.2500 0.8206 Ir
0.5086 0.7500 0.1794 Ir
0.6728 0.7500 0.5106 Ir
0.8272 0.2500 0.0106 Ir
0.9914 0.2500 0.6794 Ir
```

Largest 10 diffraction maxima, by intensity, 2θ = 5–70°:
2θ (°)	I_rel
31.39	100
32.66	61
45.46	53
33.59	50
27.69	49
35.82	47
38.86	34
34.37	32
32.99	28
28.41	25

[6]
Computed XRD peak list
Compound: Th6Tl2Ir
Radiation: Cu Kα
Structure: a structure optimized by DFT (PBE)
Intensities are scaled so that the largest is 100.

Structural model:
```
Th6Tl2Ir
1.0
6.3649 0.0000 0.0000
0.0000 8.2421 0.0000
-5.9564 0.0000 10.6266
Th Tl Ir
12 4 2
Direct
0.0728 0.1910 0.4573 Th
0.0728 0.3090 0.9573 Th
0.3244 0.6687 0.4565 Th
0.3244 0.8313 0.9565 Th
0.3736 0.0268 0.2466 Th
0.3736 0.4732 0.7466 Th
0.6264 0.5268 0.2534 Th
0.6264 0.9732 0.7534 Th
0.6756 0.1687 0.0435 Th
0.6756 0.3313 0.5435 Th
0.9272 0.6910 0.0427 Th
0.9272 0.8090 0.5427 Th
0.1419 0.1142 0.7463 Tl
0.1419 0.3858 0.2463 Tl
0.8581 0.6142 0.7537 Tl
0.8581 0.8858 0.2537 Tl
0.5000 0.0000 0.5000 Ir
0.5000 0.5000 0.0000 Ir
```

Largest 10 diffraction maxima, by intensity, 2θ = 5–70°:
2θ (°)	I_rel
31.00	100
35.60	95
33.74	79
27.39	75
30.55	57
52.02	56
35.17	53
26.94	52
34.08	47
31.15	47